Record 1
The following is a computed PXRD pattern of Cs3Te4Se. It was derived from a GGA-PBE-relaxed structure, using Cu Kα (weighted mean of Kα1 and Kα2).
Neutral-atom scattering factors, no anomalous dispersion.

Crystal structure
```
data_Cs3Te4Se
_symmetry_space_group_name_H-M 'C 1 2/m 1'
_symmetry_Int_Tables_number 12
_cell_length_a 25.9768
_cell_length_b 5.2276
_cell_length_c 5.5032
_cell_angle_alpha 90.00
_cell_angle_beta 100.22
_cell_angle_gamma 90.00
loop_
_symmetry_equiv_pos_as_xyz
'x,y,z'
'-x,-y,-z'
'-x,y,-z'
'x,-y,z'
'x+1/2,y+1/2,z'
'-x+1/2,-y+1/2,-z'
'-x+1/2,y+1/2,-z'
'x+1/2,-y+1/2,z'
loop_
_atom_site_label
_atom_site_type_symbol
_atom_site_fract_x
_atom_site_fract_y
_atom_site_fract_z
Cs1 Cs 0.0000 0.0000 0.0000
Cs2 Cs 0.1627 0.0000 0.9234
Te1 Te 0.0974 0.5000 0.3433
Te2 Te 0.2087 0.5000 0.4840
Se1 Se 0.0000 0.5000 0.5000
```

Most intense lines, 15° ≤ 2θ ≤ 90°, in order of rising 2θ:
| d (Å) | 2θ/deg | Rel. int. |
| --- | --- | --- |
| 3.657 | 24.34 | 100.0 |
| 3.609 | 24.67 | 28.8 |
| 3.225 | 27.66 | 29.2 |
| 2.994 | 29.84 | 35.2 |
| 2.614 | 34.31 | 32.3 |
| 2.558 | 35.08 | 16.8 |
| 2.495 | 35.99 | 27.6 |
| 1.997 | 45.43 | 12.8 |
| 1.878 | 48.47 | 19.2 |
| 1.707 | 53.70 | 15.9 |

Record 2
The following is a computed PXRD pattern of TbSm. It was derived from a GGA-PBE-relaxed structure, using Cu Kα (weighted mean of Kα1 and Kα2).
Neutral-atom scattering factors, no anomalous dispersion.

Crystal structure
```
data_TbSm
_symmetry_space_group_name_H-M 'P -6 m 2'
_symmetry_Int_Tables_number 187
_symmetry_space_group_name_Hall 'P -6 2'
_cell_length_a 3.6464
_cell_length_b 3.6464
_cell_length_c 5.7639
_cell_angle_alpha 90.00
_cell_angle_beta 90.00
_cell_angle_gamma 120.00
loop_
_atom_site_label
_atom_site_type_symbol
_atom_site_fract_x
_atom_site_fract_y
_atom_site_fract_z
Tb1 Tb 0.0000 0.0000 0.0000
Sm1 Sm 0.3333 0.6667 0.5000
```

Most intense lines, 15° ≤ 2θ ≤ 90°, in order of rising 2θ:
| d (Å) | 2θ/deg | Rel. int. |
| --- | --- | --- |
| 3.158 | 28.26 | 23.7 |
| 2.882 | 31.03 | 24.7 |
| 2.769 | 32.33 | 100.0 |
| 2.129 | 42.46 | 15.8 |
| 1.823 | 50.03 | 19.7 |
| 1.641 | 56.03 | 21.0 |
| 1.541 | 60.05 | 22.7 |
| 1.523 | 60.83 | 16.4 |
| 1.169 | 82.54 | 13.9 |
| 1.131 | 85.99 | 8.5 |

Record 3
The following is a computed PXRD pattern of Pm6Si3O2. It was derived from a GGA-PBE-relaxed structure, using Cu Kα (weighted mean of Kα1 and Kα2).
Neutral-atom scattering factors, no anomalous dispersion.

Crystal structure
```
data_Pm6Si3O2
_symmetry_space_group_name_H-M 'I 4/m m m'
_symmetry_Int_Tables_number 139
_symmetry_space_group_name_Hall '-I 4 2'
_cell_length_a 4.6686
_cell_length_b 4.6686
_cell_length_c 24.2824
_cell_angle_alpha 90.00
_cell_angle_beta 90.00
_cell_angle_gamma 90.00
loop_
_atom_site_label
_atom_site_type_symbol
_atom_site_fract_x
_atom_site_fract_y
_atom_site_fract_z
Pm1 Pm 0.0000 0.0000 0.1986
Pm2 Pm 0.0000 0.5000 0.0793
Si1 Si 0.0000 0.0000 0.3252
Si2 Si 0.0000 0.0000 0.5000
O1 O 0.0000 0.0000 0.1013
```

Most intense lines, 15° ≤ 2θ ≤ 90°, in order of rising 2θ:
| d (Å) | 2θ/deg | Rel. int. |
| --- | --- | --- |
| 4.045 | 21.97 | 56.0 |
| 3.186 | 28.01 | 98.5 |
| 3.035 | 29.43 | 29.8 |
| 2.558 | 35.08 | 100.0 |
| 2.334 | 38.57 | 71.6 |
| 2.022 | 44.82 | 29.3 |
| 1.850 | 49.24 | 28.9 |
| 1.725 | 53.08 | 27.3 |
| 1.651 | 55.69 | 24.9 |
| 1.387 | 67.54 | 30.0 |